Entry 1:
Diffraction record for Na2La2Ti3O10. The X-ray diffraction stick pattern is calculated, not measured: it uses a DFT-relaxed cell (GGA-PBE, Alexandria) and Cu Kα (λ = 1.5418 Å).

Atomic structure:
abc: 14.694 14.694 14.694
angles: 164.86 164.86 21.47
Element x y z (fractional)
1 Na 0.212 0.212 0.000
2 Na 0.788 0.788 0.000
3 La 0.075 0.075 0.000
4 La 0.925 0.925 0.000
5 Ti 0.352 0.352 0.000
6 Ti 0.500 0.500 0.000
7 Ti 0.648 0.648 0.000
8 O 0.000 0.500 0.500
9 O 0.133 0.633 0.500
10 O 0.291 0.291 0.000
11 O 0.367 0.867 0.500
12 O 0.433 0.433 0.000
13 O 0.500 0.000 0.500
14 O 0.567 0.567 0.000
15 O 0.633 0.133 0.500
16 O 0.709 0.709 0.000
17 O 0.867 0.367 0.500

Main lines, low angle first (15° ≤ 2θ ≤ 90°):
2θ 27.7, rel. 39
2θ 31.7, rel. 100
2θ 32.7, rel. 56
2θ 37.8, rel. 21
2θ 41.4, rel. 25
2θ 43.9, rel. 21
2θ 46.9, rel. 40
2θ 55.8, rel. 22
2θ 57.8, rel. 36
2θ 66.2, rel. 21

Entry 2:
Diffraction record for NaLaTi2O6. The X-ray diffraction stick pattern is calculated, not measured: it uses a DFT-relaxed cell (GGA-PBE, Alexandria) and Cu Kα (λ = 1.5418 Å).

Atomic structure:
abc: 7.208 7.208 6.682
angles: 107.11 107.11 97.88
Element x y z (fractional)
1 Na 0.226 0.774 0.750
2 Na 0.774 0.226 0.250
3 La 0.102 0.898 0.250
4 La 0.898 0.102 0.750
5 Ti 0.278 0.427 0.303
6 Ti 0.427 0.278 0.803
7 Ti 0.573 0.722 0.197
8 Ti 0.722 0.573 0.697
9 O 0.071 0.200 0.158
10 O 0.153 0.619 0.371
11 O 0.200 0.071 0.658
12 O 0.352 0.418 0.047
13 O 0.381 0.847 0.129
14 O 0.418 0.352 0.547
15 O 0.582 0.648 0.453
16 O 0.619 0.153 0.871
17 O 0.648 0.582 0.953
18 O 0.800 0.929 0.342
19 O 0.847 0.381 0.629
20 O 0.929 0.800 0.842

Main lines, low angle first (15° ≤ 2θ ≤ 90°):
2θ 16.0, rel. 61
2θ 16.3, rel. 45
2θ 21.0, rel. 51
2θ 23.2, rel. 52
2θ 25.5, rel. 100
2θ 28.3, rel. 90
2θ 29.9, rel. 54
2θ 32.8, rel. 60
2θ 33.0, rel. 46
2θ 43.9, rel. 40